Pr6HoIn6: calculated X-ray powder pattern (Cu Ka), based on the GGA-PBE geometry in Alexandria.
Lines closer than 0.1° are merged.

Main lines, by angle (5° ≤ 2θ ≤ 70°):
- 27.76°, d = 3.214 Å, I = 42.9, hkl 1 1 0
- 28.82°, d = 3.097 Å, I = 27.3, hkl 1 0 3
- 32.01°, d = 2.796 Å, I = 27.9, hkl 0 0 4
- 32.14°, d = 2.785 Å, I = 100.0, hkl 2 0 0
- 35.94°, d = 2.498 Å, I = 16.2, hkl 1 0 4
- 36.05°, d = 2.492 Å, I = 67.4, hkl 2 0 2
- 51.93°, d = 1.761 Å, I = 16.4, hkl 3 0 2
- 57.13°, d = 1.612 Å, I = 28.8, hkl 1 1 6
- 57.34°, d = 1.607 Å, I = 26.8, hkl 2 2 0
- 67.21°, d = 1.393 Å, I = 23.2, hkl 2 2 4

```
data_Pr6HoIn6
_chemical_formula_sum 'Pr6 Ho1 In6'
_cell_length_a 6.4271
_cell_length_b 6.4271
_cell_length_c 11.1839
_cell_angle_alpha 90.00
_cell_angle_beta 90.00
_cell_angle_gamma 120.00
_symmetry_space_group_name_H-M 'P 6/m m m'
_symmetry_Int_Tables_number 191
_symmetry_space_group_name_Hall '-P 6 2'
loop_
_atom_site_label
_atom_site_type_symbol
_atom_site_fract_x
_atom_site_fract_y
_atom_site_fract_z
Pr1 Pr 0.0000 0.0000 0.1699
Pr2 Pr 0.3333 0.6667 0.0000
Pr3 Pr 0.3333 0.6667 0.5000
Ho1 Ho 0.0000 0.0000 0.5000
In1 In 0.0000 0.5000 0.2534
```


PrHo15In4: calculated X-ray powder pattern (Cu Ka), based on the GGA-PBE geometry in Alexandria.
Lines closer than 0.1° are merged.

Main lines, by angle (5° ≤ 2θ ≤ 70°):
- 31.82°, d = 2.812 Å, I = 100.0, hkl 1 1 5
- 34.08°, d = 2.630 Å, I = 1.2, hkl 1 1 6
- 36.42°, d = 2.467 Å, I = 16.2, hkl 0 0 10
- 37.15°, d = 2.420 Å, I = 33.8, hkl 2 0 0
- 53.01°, d = 1.728 Å, I = 22.1, hkl 2 0 10
- 53.55°, d = 1.711 Å, I = 11.8, hkl 2 2 0
- 58.96°, d = 1.567 Å, I = 1.1, hkl 1 1 14
- 62.68°, d = 1.482 Å, I = 11.7, hkl 1 1 15
- 63.65°, d = 1.462 Å, I = 27.3, hkl 3 1 5
- 66.50°, d = 1.406 Å, I = 12.5, hkl 2 2 10

```
data_PrHo15In4
_chemical_formula_sum 'Pr1 Ho15 In4'
_cell_length_a 4.841
_cell_length_b 4.841
_cell_length_c 24.666
_cell_angle_alpha 90.00
_cell_angle_beta 90.00
_cell_angle_gamma 90.00
_symmetry_space_group_name_H-M 'P 4/m m m'
_symmetry_Int_Tables_number 123
_symmetry_space_group_name_Hall '-P 4 2'
loop_
_atom_site_label
_atom_site_type_symbol
_atom_site_fract_x
_atom_site_fract_y
_atom_site_fract_z
Pr1 Pr 0.000 0.000 0.000
Ho1 Ho 0.000 0.500 0.107
Ho2 Ho 0.000 0.500 0.304
Ho3 Ho 0.000 0.500 0.500
Ho4 Ho 0.500 0.500 0.000
Ho5 Ho 0.500 0.500 0.207
Ho6 Ho 0.500 0.500 0.402
In1 In 0.000 0.000 0.207
In2 In 0.000 0.000 0.402
```


Pr2Ho3In: calculated X-ray powder pattern (Cu Ka), based on the GGA-PBE geometry in Alexandria.
Lines closer than 0.1° are merged.

Main lines, by angle (5° ≤ 2θ ≤ 70°):
- 30.25°, d = 2.955 Å, I = 9.5, hkl 1 1 4
- 31.05°, d = 2.881 Å, I = 100.0, hkl 1 2 3
- 34.40°, d = 2.607 Å, I = 17.7, hkl 0 0 6
- 34.80°, d = 2.578 Å, I = 22.1, hkl 2 0 0
- 38.67°, d = 2.328 Å, I = 10.5, hkl 0 4 0
- 49.74°, d = 1.833 Å, I = 12.5, hkl 2 0 6
- 52.99°, d = 1.728 Å, I = 8.4, hkl 2 4 0
- 57.64°, d = 1.599 Å, I = 7.2, hkl 1 5 4
- 59.55°, d = 1.552 Å, I = 11.0, hkl 1 2 9
- 60.06°, d = 1.540 Å, I = 16.1, hkl 3 2 3

```
data_Pr2Ho3In
_chemical_formula_sum 'Pr8 Ho12 In4'
_cell_length_a 5.156
_cell_length_b 9.314
_cell_length_c 15.640
_cell_angle_alpha 90.00
_cell_angle_beta 90.00
_cell_angle_gamma 90.00
_symmetry_space_group_name_H-M 'I m m a'
_symmetry_Int_Tables_number 74
_symmetry_space_group_name_Hall '-I 2b 2'
loop_
_atom_site_label
_atom_site_type_symbol
_atom_site_fract_x
_atom_site_fract_y
_atom_site_fract_z
Pr1 Pr 0.000 0.250 0.025
Pr2 Pr 0.000 0.250 0.325
Ho1 Ho 0.000 0.000 0.500
Ho2 Ho 0.000 0.044 0.828
In1 In 0.000 0.250 0.646
```


Pr3Ho5In2: calculated X-ray powder pattern (Cu Ka), based on the GGA-PBE geometry in Alexandria.
Lines closer than 0.1° are merged.

Main lines, by angle (5° ≤ 2θ ≤ 70°):
- 22.73°, d = 3.911 Å, I = 10.6, hkl 0 4 0
- 25.93°, d = 3.436 Å, I = 17.0, hkl 2 3 1
- 29.94°, d = 2.985 Å, I = 100.0, hkl 0 2 2
- 34.75°, d = 2.581 Å, I = 34.2, hkl 2 5 1
- 36.07°, d = 2.490 Å, I = 26.6, hkl 0 4 2
- 39.47°, d = 2.283 Å, I = 40.0, hkl 4 0 2
- 53.33°, d = 1.718 Å, I = 11.6, hkl 4 6 2
- 53.59°, d = 1.710 Å, I = 18.8, hkl 2 5 3
- 65.76°, d = 1.420 Å, I = 20.3, hkl 4 2 4
- 66.40°, d = 1.408 Å, I = 13.8, hkl 0 10 2

```
data_Pr3Ho5In2
_chemical_formula_sum 'Pr12 Ho20 In8'
_cell_length_a 12.931
_cell_length_b 15.645
_cell_length_c 6.451
_cell_angle_alpha 90.00
_cell_angle_beta 90.00
_cell_angle_gamma 90.00
_symmetry_space_group_name_H-M 'I b a m'
_symmetry_Int_Tables_number 72
_symmetry_space_group_name_Hall '-I 2 2c'
loop_
_atom_site_label
_atom_site_type_symbol
_atom_site_fract_x
_atom_site_fract_y
_atom_site_fract_z
Pr1 Pr 0.000 0.000 0.250
Pr2 Pr 0.118 0.240 0.000
Ho1 Ho 0.000 0.500 0.250
Ho2 Ho 0.122 0.337 0.500
Ho3 Ho 0.246 0.500 0.250
In1 In 0.139 0.147 0.500
```


Pr2Ho2In3: calculated X-ray powder pattern (Cu Ka), based on the GGA-PBE geometry in Alexandria.
Lines closer than 0.1° are merged.

Main lines, by angle (5° ≤ 2θ ≤ 70°):
- 31.65°, d = 2.827 Å, I = 100.0, hkl 1 7 0
- 32.27°, d = 2.774 Å, I = 81.9, hkl 1 1 1
- 33.64°, d = 2.664 Å, I = 29.1, hkl 0 6 1
- 33.88°, d = 2.646 Å, I = 17.7, hkl 1 3 1
- 38.50°, d = 2.338 Å, I = 32.6, hkl 2 0 0
- 38.86°, d = 2.317 Å, I = 26.8, hkl 0 8 1
- 52.04°, d = 1.757 Å, I = 17.0, hkl 2 6 1
- 55.86°, d = 1.646 Å, I = 18.5, hkl 2 8 1
- 62.69°, d = 1.482 Å, I = 27.7, hkl 1 7 2
- 67.05°, d = 1.396 Å, I = 13.2, hkl 2 0 2

```
data_Pr2Ho2In3
_chemical_formula_sum 'Pr4 Ho4 In6'
_cell_length_a 4.676
_cell_length_b 24.849
_cell_length_c 3.480
_cell_angle_alpha 90.00
_cell_angle_beta 90.00
_cell_angle_gamma 90.00
_symmetry_space_group_name_H-M 'C m m m'
_symmetry_Int_Tables_number 65
_symmetry_space_group_name_Hall '-C 2 2'
loop_
_atom_site_label
_atom_site_type_symbol
_atom_site_fract_x
_atom_site_fract_y
_atom_site_fract_z
Pr1 Pr 0.000 0.073 0.000
Ho1 Ho 0.000 0.205 0.000
In1 In 0.000 0.348 0.500
In2 In 0.000 0.500 0.500
```


Pr7HoIn2: calculated X-ray powder pattern (Cu Ka), based on the GGA-PBE geometry in Alexandria.
Lines closer than 0.1° are merged.

Main lines, by angle (5° ≤ 2θ ≤ 70°):
- 16.27°, d = 5.447 Å, I = 40.4, hkl 0 0 1
- 19.61°, d = 4.527 Å, I = 30.6, hkl 1 1 1
- 25.00°, d = 3.562 Å, I = 25.9, hkl 2 0 1
- 27.46°, d = 3.248 Å, I = 53.8, hkl 0 4 1
- 29.09°, d = 3.069 Å, I = 73.2, hkl 2 4 0
- 32.89°, d = 2.723 Å, I = 56.1, hkl 0 0 2
- 33.40°, d = 2.683 Å, I = 76.5, hkl 3 1 1
- 33.58°, d = 2.669 Å, I = 100.0, hkl 1 5 1
- 44.46°, d = 2.038 Å, I = 52.5, hkl 2 4 2
- 59.20°, d = 1.561 Å, I = 46.4, hkl 5 5 1

```
data_Pr7HoIn2
_chemical_formula_sum 'Pr14 Ho2 In4'
_cell_length_a 9.422
_cell_length_b 16.186
_cell_length_c 5.447
_cell_angle_alpha 90.00
_cell_angle_beta 90.00
_cell_angle_gamma 90.00
_symmetry_space_group_name_H-M 'C m m m'
_symmetry_Int_Tables_number 65
_symmetry_space_group_name_Hall '-C 2 2'
loop_
_atom_site_label
_atom_site_type_symbol
_atom_site_fract_x
_atom_site_fract_y
_atom_site_fract_z
Pr1 Pr 0.000 0.000 0.000
Pr2 Pr 0.000 0.277 0.500
Pr3 Pr 0.182 0.380 0.000
Ho1 Ho 0.000 0.500 0.500
In1 In 0.000 0.195 0.000
```


Pr2Ho6In: calculated X-ray powder pattern (Cu Ka), based on the GGA-PBE geometry in Alexandria.
Lines closer than 0.1° are merged.

Main lines, by angle (5° ≤ 2θ ≤ 70°):
- 30.55°, d = 2.926 Å, I = 84.1, hkl 1 0 3
- 31.24°, d = 2.863 Å, I = 100.0, hkl 0 3 3
- 31.47°, d = 2.842 Å, I = 23.8, hkl 1 2 1
- 33.74°, d = 2.657 Å, I = 42.3, hkl 0 0 6
- 35.37°, d = 2.538 Å, I = 15.5, hkl 1 2 3
- 36.83°, d = 2.440 Å, I = 44.7, hkl 1 3 0
- 50.80°, d = 1.797 Å, I = 29.4, hkl 1 3 6
- 52.19°, d = 1.753 Å, I = 14.3, hkl 2 0 0
- 58.80°, d = 1.570 Å, I = 17.0, hkl 0 3 9
- 62.09°, d = 1.495 Å, I = 28.1, hkl 2 3 3

```
data_Pr2Ho6In
_chemical_formula_sum 'Pr4 Ho12 In2'
_cell_length_a 3.506
_cell_length_b 10.198
_cell_length_c 15.939
_cell_angle_alpha 90.00
_cell_angle_beta 90.00
_cell_angle_gamma 90.00
_symmetry_space_group_name_H-M 'I m m m'
_symmetry_Int_Tables_number 71
_symmetry_space_group_name_Hall '-I 2 2'
loop_
_atom_site_label
_atom_site_type_symbol
_atom_site_fract_x
_atom_site_fract_y
_atom_site_fract_z
Pr1 Pr 0.000 0.000 0.151
Ho1 Ho 0.000 0.292 0.500
Ho2 Ho 0.000 0.338 0.177
In1 In 0.000 0.500 0.000
```


PrHoScIn: calculated X-ray powder pattern (Cu Ka), based on the GGA-PBE geometry in Alexandria.
Lines closer than 0.1° are merged.

Main lines, by angle (5° ≤ 2θ ≤ 70°):
- 20.22°, d = 4.391 Å, I = 14.9, hkl 1 1 1
- 23.39°, d = 3.802 Å, I = 1.5, hkl 2 0 0
- 33.32°, d = 2.689 Å, I = 100.0, hkl 2 2 0
- 39.29°, d = 2.293 Å, I = 8.6, hkl 3 1 1
- 47.84°, d = 1.901 Å, I = 17.9, hkl 4 0 0
- 52.45°, d = 1.745 Å, I = 3.9, hkl 3 3 1
- 53.92°, d = 1.701 Å, I = 0.6, hkl 4 2 0
- 59.55°, d = 1.552 Å, I = 36.8, hkl 4 2 2
- 63.57°, d = 1.464 Å, I = 3.0, hkl 5 1 1
- 69.98°, d = 1.344 Å, I = 11.3, hkl 4 4 0

```
data_PrHoScIn
_chemical_formula_sum 'Pr4 Ho4 Sc4 In4'
_cell_length_a 7.605
_cell_length_b 7.605
_cell_length_c 7.605
_cell_angle_alpha 90.00
_cell_angle_beta 90.00
_cell_angle_gamma 90.00
_symmetry_space_group_name_H-M 'F -4 3 m'
_symmetry_Int_Tables_number 216
_symmetry_space_group_name_Hall 'F -4 2 3'
loop_
_atom_site_label
_atom_site_type_symbol
_atom_site_fract_x
_atom_site_fract_y
_atom_site_fract_z
Pr1 Pr 0.000 0.000 0.000
Ho1 Ho 0.250 0.250 0.750
Sc1 Sc 0.250 0.250 0.250
In1 In 0.000 0.000 0.500
```


PrHoZnIn: calculated X-ray powder pattern (Cu Ka), based on the GGA-PBE geometry in Alexandria.
Lines closer than 0.1° are merged.

Main lines, by angle (5° ≤ 2θ ≤ 70°):
- 24.07°, d = 3.697 Å, I = 6.9, hkl 1 0 0
- 26.81°, d = 3.325 Å, I = 5.4, hkl 1 0 1
- 33.82°, d = 2.651 Å, I = 100.0, hkl 1 0 2
- 34.30°, d = 2.614 Å, I = 51.0, hkl 1 1 0
- 47.84°, d = 1.901 Å, I = 7.8, hkl 0 0 4
- 49.30°, d = 1.848 Å, I = 18.2, hkl 2 0 0
- 50.13°, d = 1.820 Å, I = 3.8, hkl 1 1 3
- 60.18°, d = 1.538 Å, I = 15.5, hkl 1 1 4
- 61.12°, d = 1.516 Å, I = 35.5, hkl 2 1 2
- 66.47°, d = 1.407 Å, I = 3.5, hkl 1 0 5

```
data_PrHoZnIn
_chemical_formula_sum 'Pr1 Ho1 Zn1 In1'
_cell_length_a 3.697
_cell_length_b 3.697
_cell_length_c 7.605
_cell_angle_alpha 90.00
_cell_angle_beta 90.00
_cell_angle_gamma 90.00
_symmetry_space_group_name_H-M 'P 4 m m'
_symmetry_Int_Tables_number 99
_symmetry_space_group_name_Hall 'P 4 -2'
loop_
_atom_site_label
_atom_site_type_symbol
_atom_site_fract_x
_atom_site_fract_y
_atom_site_fract_z
Pr1 Pr 0.000 0.000 0.000
Ho1 Ho 0.000 0.000 0.539
Zn1 Zn 0.500 0.500 0.745
In1 In 0.500 0.500 0.285
```


Ho5In2Pt: calculated X-ray powder pattern (Cu Ka), based on the GGA-PBE geometry in Alexandria.
Lines closer than 0.1° are merged.

Main lines, by angle (5° ≤ 2θ ≤ 70°):
- 30.99°, d = 2.885 Å, I = 25.8, hkl 1 3 1
- 31.19°, d = 2.867 Å, I = 68.8, hkl 1 4 0
- 31.99°, d = 2.798 Å, I = 100.0, hkl 2 1 1
- 33.01°, d = 2.713 Å, I = 32.2, hkl 2 3 0
- 34.17°, d = 2.624 Å, I = 76.0, hkl 0 4 1
- 34.38°, d = 2.609 Å, I = 51.9, hkl 2 2 1
- 37.30°, d = 2.410 Å, I = 63.5, hkl 0 0 2
- 49.41°, d = 1.845 Å, I = 22.4, hkl 1 4 2
- 50.67°, d = 1.802 Å, I = 33.2, hkl 2 6 0
- 63.94°, d = 1.456 Å, I = 26.0, hkl 2 1 3

```
data_Ho5In2Pt
_chemical_formula_sum 'Ho10 In4 Pt2'
_cell_length_a 7.145
_cell_length_b 12.511
_cell_length_c 4.821
_cell_angle_alpha 90.00
_cell_angle_beta 90.00
_cell_angle_gamma 90.00
_symmetry_space_group_name_H-M 'P b a m'
_symmetry_Int_Tables_number 55
_symmetry_space_group_name_Hall '-P 2 2ab'
loop_
_atom_site_label
_atom_site_type_symbol
_atom_site_fract_x
_atom_site_fract_y
_atom_site_fract_z
Ho1 Ho 0.000 0.000 0.000
Ho2 Ho 0.128 0.287 0.000
Ho3 Ho 0.177 0.583 0.500
In1 In 0.098 0.838 0.500
Pt1 Pt 0.000 0.500 0.000
```


HoInPt6: calculated X-ray powder pattern (Cu Ka), based on the GGA-PBE geometry in Alexandria.
Lines closer than 0.1° are merged.

Main lines, by angle (5° ≤ 2θ ≤ 70°):
- 21.74°, d = 4.089 Å, I = 1.0, hkl 1 0 0
- 21.85°, d = 4.067 Å, I = 0.5, hkl 0 0 2
- 30.98°, d = 2.886 Å, I = 1.3, hkl 1 1 0
- 38.19°, d = 2.357 Å, I = 100.0, hkl 1 1 2
- 44.31°, d = 2.044 Å, I = 33.1, hkl 2 0 0
- 44.55°, d = 2.034 Å, I = 16.2, hkl 0 0 4
- 49.90°, d = 1.828 Å, I = 0.5, hkl 2 1 0
- 64.45°, d = 1.446 Å, I = 11.0, hkl 2 2 0
- 64.65°, d = 1.442 Å, I = 21.6, hkl 2 0 4

```
data_HoInPt6
_chemical_formula_sum 'Ho1 In1 Pt6'
_cell_length_a 4.089
_cell_length_b 4.089
_cell_length_c 8.134
_cell_angle_alpha 90.00
_cell_angle_beta 90.00
_cell_angle_gamma 90.00
_symmetry_space_group_name_H-M 'P 4/m m m'
_symmetry_Int_Tables_number 123
_symmetry_space_group_name_Hall '-P 4 2'
loop_
_atom_site_label
_atom_site_type_symbol
_atom_site_fract_x
_atom_site_fract_y
_atom_site_fract_z
Ho1 Ho 0.000 0.000 0.000
In1 In 0.000 0.000 0.500
Pt1 Pt 0.000 0.500 0.254
Pt2 Pt 0.500 0.500 0.000
Pt3 Pt 0.500 0.500 0.500
```


Ho2In8Pt: calculated X-ray powder pattern (Cu Ka), based on the GGA-PBE geometry in Alexandria.
Lines closer than 0.1° are merged.

Main lines, by angle (5° ≤ 2θ ≤ 70°):
- 18.95°, d = 4.683 Å, I = 11.2, hkl 1 0 0
- 30.79°, d = 2.904 Å, I = 16.9, hkl 1 1 2
- 35.07°, d = 2.558 Å, I = 100.0, hkl 1 1 3
- 37.19°, d = 2.418 Å, I = 10.2, hkl 0 0 5
- 38.45°, d = 2.342 Å, I = 50.4, hkl 2 0 0
- 40.41°, d = 2.232 Å, I = 9.0, hkl 1 1 4
- 54.56°, d = 1.682 Å, I = 13.1, hkl 2 0 5
- 55.50°, d = 1.656 Å, I = 17.0, hkl 2 2 0
- 67.37°, d = 1.390 Å, I = 32.3, hkl 3 1 3
- 68.22°, d = 1.375 Å, I = 9.5, hkl 1 1 8

```
data_Ho2In8Pt
_chemical_formula_sum 'Ho2 In8 Pt1'
_cell_length_a 4.683
_cell_length_b 4.683
_cell_length_c 12.090
_cell_angle_alpha 90.00
_cell_angle_beta 90.00
_cell_angle_gamma 90.00
_symmetry_space_group_name_H-M 'P 4/m m m'
_symmetry_Int_Tables_number 123
_symmetry_space_group_name_Hall '-P 4 2'
loop_
_atom_site_label
_atom_site_type_symbol
_atom_site_fract_x
_atom_site_fract_y
_atom_site_fract_z
Ho1 Ho 0.000 0.000 0.190
In1 In 0.000 0.500 0.000
In2 In 0.000 0.500 0.373
In3 In 0.500 0.500 0.191
Pt1 Pt 0.000 0.000 0.500
```


Ho11In9Pt4: calculated X-ray powder pattern (Cu Ka), based on the GGA-PBE geometry in Alexandria.
Lines closer than 0.1° are merged.

Main lines, by angle (5° ≤ 2θ ≤ 70°):
- 7.26°, d = 12.173 Å, I = 8.2, hkl 1 1 0
- 31.86°, d = 2.809 Å, I = 7.4, hkl 2 4 1
- 32.99°, d = 2.715 Å, I = 10.6, hkl 3 3 1
- 34.69°, d = 2.586 Å, I = 100.0, hkl 0 6 1
- 36.91°, d = 2.435 Å, I = 18.6, hkl 3 5 1
- 37.34°, d = 2.408 Å, I = 6.9, hkl 1 9 0
- 37.82°, d = 2.379 Å, I = 6.6, hkl 6 2 0
- 38.50°, d = 2.338 Å, I = 5.7, hkl 4 4 1
- 49.91°, d = 1.827 Å, I = 13.5, hkl 0 0 2
- 62.19°, d = 1.493 Å, I = 16.3, hkl 4 6 2

```
data_Ho11In9Pt4
_chemical_formula_sum 'Ho22 In18 Pt8'
_cell_length_a 14.621
_cell_length_b 21.976
_cell_length_c 3.654
_cell_angle_alpha 90.00
_cell_angle_beta 90.00
_cell_angle_gamma 90.00
_symmetry_space_group_name_H-M 'C m m m'
_symmetry_Int_Tables_number 65
_symmetry_space_group_name_Hall '-C 2 2'
loop_
_atom_site_label
_atom_site_type_symbol
_atom_site_fract_x
_atom_site_fract_y
_atom_site_fract_z
Ho1 Ho 0.000 0.000 0.000
Ho2 Ho 0.000 0.160 0.000
Ho3 Ho 0.000 0.373 0.000
Ho4 Ho 0.191 0.500 0.000
Ho5 Ho 0.244 0.170 0.000
In1 In 0.000 0.500 0.500
In2 In 0.105 0.261 0.500
In3 In 0.143 0.072 0.500
Pt1 Pt 0.152 0.399 0.500
```